For TmHfNi, DFT lattice parameters and positions (PBE) gives the computed powder XRD pattern in this record (CuKα).
Peak positions follow from Bragg's law for the DFT cell and can differ from measured ones.

Peak list (10 most intense, 10 to 90 degrees two-theta, by intensity)
d 3.219, I 1000
d 2.402, I 824
d 2.169, I 724
d 1.610, I 241
d 1.502, I 232
d 1.293, I 231
d 1.799, I 195
d 1.384, I 168
d 1.252, I 122
d 2.083, I 112

Cell and atoms:
abc: 8.702 8.702 8.702
angles: 28.86 28.86 28.86
Positions (direct):
Tm: 0.119 0.119 0.119
Tm: 0.881 0.881 0.881
Hf: 0.370 0.370 0.370
Hf: 0.630 0.630 0.630
Ni: 0.266 0.266 0.266
Ni: 0.734 0.734 0.734

For Hf3VNi12, DFT lattice parameters and positions (PBE) gives the computed powder XRD pattern in this record (CuKα).
Peak positions follow from Bragg's law for the DFT cell and can differ from measured ones.

Peak list (10 most intense, 10 to 90 degrees two-theta, by intensity)
d 2.131, I 1000
d 1.848, I 324
d 1.114, I 232
d 1.304, I 181
d 1.839, I 149
d 2.609, I 146
d 3.696, I 120
d 1.110, I 108
d 1.307, I 98
d 3.679, I 60

Cell and atoms:
abc: 3.696 3.696 14.715
angles: 90.00 90.00 90.00
Positions (direct):
Hf: 0.000 0.000 0.000
Hf: 0.000 0.000 0.256
Hf: 0.000 0.000 0.744
V: 0.000 0.000 0.500
Ni: 0.000 0.500 0.128
Ni: 0.000 0.500 0.384
Ni: 0.000 0.500 0.616
Ni: 0.000 0.500 0.872
Ni: 0.500 0.000 0.128
Ni: 0.500 0.000 0.384
Ni: 0.500 0.000 0.616
Ni: 0.500 0.000 0.872
Ni: 0.500 0.500 0.000
Ni: 0.500 0.500 0.255
Ni: 0.500 0.500 0.500
Ni: 0.500 0.500 0.745

For Hf2Ni9W, DFT lattice parameters and positions (PBE) gives the computed powder XRD pattern in this record (CuKα).
Peak positions follow from Bragg's law for the DFT cell and can differ from measured ones.

Peak list (10 most intense, 10 to 90 degrees two-theta, by intensity)
d 2.138, I 1000
d 1.852, I 476
d 3.703, I 296
d 1.309, I 288
d 2.619, I 244
d 1.117, I 236
d 1.656, I 132
d 1.116, I 113
d 1.512, I 100
d 1.235, I 62

Cell and atoms:
abc: 3.705 3.705 11.100
angles: 90.00 90.00 90.00
Positions (direct):
Hf: 0.000 0.000 0.169
Hf: 0.000 0.000 0.831
Ni: 0.000 0.500 0.000
Ni: 0.000 0.500 0.341
Ni: 0.000 0.500 0.659
Ni: 0.500 0.000 0.000
Ni: 0.500 0.000 0.341
Ni: 0.500 0.000 0.659
Ni: 0.500 0.500 0.171
Ni: 0.500 0.500 0.500
Ni: 0.500 0.500 0.829
W: 0.000 0.000 0.500

For HfZn5Ni, DFT lattice parameters and positions (PBE) gives the computed powder XRD pattern in this record (CuKα).
Peak positions follow from Bragg's law for the DFT cell and can differ from measured ones.

Peak list (10 most intense, 10 to 90 degrees two-theta, by intensity)
d 2.160, I 1000
d 2.110, I 541
d 2.694, I 415
d 1.228, I 300
d 4.220, I 276
d 1.492, I 171
d 1.484, I 149
d 2.514, I 145
d 6.261, I 120
d 2.087, I 114

Cell and atoms:
abc: 4.220 4.220 6.261
angles: 90.00 90.00 90.00
Positions (direct):
Hf: 0.000 0.000 0.000
Zn: 0.000 0.500 0.294
Zn: 0.000 0.500 0.706
Zn: 0.500 0.000 0.294
Zn: 0.500 0.000 0.706
Zn: 0.500 0.500 0.000
Ni: 0.000 0.000 0.500

For Hf2ZnNi4, DFT lattice parameters and positions (PBE) gives the computed powder XRD pattern in this record (CuKα).
Peak positions follow from Bragg's law for the DFT cell and can differ from measured ones.

Peak list (10 most intense, 10 to 90 degrees two-theta, by intensity)
d 4.078, I 1000
d 2.295, I 994
d 1.943, I 849
d 2.028, I 616
d 1.981, I 574
d 2.559, I 424
d 2.493, I 398
d 2.396, I 381
d 2.039, I 360
d 1.859, I 344

Cell and atoms:
abc: 7.875 4.791 5.974
angles: 90.00 99.51 90.00
Positions (direct):
Hf: 0.048 0.000 0.262
Hf: 0.452 0.500 0.738
Hf: 0.548 0.500 0.262
Hf: 0.952 0.000 0.738
Zn: 0.000 0.500 0.000
Zn: 0.500 0.000 0.000
Ni: 0.225 0.500 0.369
Ni: 0.250 0.250 0.000
Ni: 0.250 0.750 0.000
Ni: 0.275 0.000 0.631
Ni: 0.725 0.000 0.369
Ni: 0.750 0.250 0.000
Ni: 0.750 0.750 0.000
Ni: 0.775 0.500 0.631

For Hf3Zr2Ni2, DFT lattice parameters and positions (PBE) gives the computed powder XRD pattern in this record (CuKα).
Peak positions follow from Bragg's law for the DFT cell and can differ from measured ones.

Peak list (10 most intense, 10 to 90 degrees two-theta, by intensity)
d 2.457, I 1000
d 2.521, I 922
d 2.247, I 796
d 2.558, I 724
d 2.327, I 536
d 2.771, I 512
d 2.725, I 494
d 1.639, I 440
d 3.118, I 425
d 2.318, I 399

Cell and atoms:
abc: 11.134 3.279 8.197
angles: 90.00 115.11 90.00
Positions (direct):
Hf: 0.000 0.000 0.000
Hf: 0.114 0.000 0.444
Hf: 0.386 0.500 0.556
Hf: 0.500 0.500 0.000
Hf: 0.614 0.500 0.444
Hf: 0.886 0.000 0.556
Zr: 0.157 0.500 0.817
Zr: 0.343 0.000 0.183
Zr: 0.657 0.000 0.817
Zr: 0.843 0.500 0.183
Ni: 0.162 0.500 0.231
Ni: 0.338 0.000 0.769
Ni: 0.662 0.000 0.231
Ni: 0.838 0.500 0.769

For Hf5Np, DFT lattice parameters and positions (PBE) gives the computed powder XRD pattern in this record (CuKα).
Peak positions follow from Bragg's law for the DFT cell and can differ from measured ones.

Peak list (10 most intense, 10 to 90 degrees two-theta, by intensity)
d 2.417, I 1000
d 2.634, I 621
d 1.475, I 402
d 1.862, I 217
d 1.360, I 164
d 1.208, I 108
d 1.178, I 88
d 1.156, I 85
d 1.588, I 71
d 1.317, I 65

Cell and atoms:
abc: 5.267 15.805 3.176
angles: 90.00 90.00 90.00
Positions (direct):
Hf: 0.000 0.000 0.000
Hf: 0.000 0.174 0.500
Hf: 0.000 0.345 0.000
Hf: 0.000 0.655 0.000
Hf: 0.000 0.826 0.500
Hf: 0.500 0.155 0.000
Hf: 0.500 0.326 0.500
Hf: 0.500 0.500 0.000
Hf: 0.500 0.674 0.500
Hf: 0.500 0.845 0.000
Np: 0.000 0.500 0.500
Np: 0.500 0.000 0.500

For HfNpP, DFT lattice parameters and positions (PBE) gives the computed powder XRD pattern in this record (CuKα).
Peak positions follow from Bragg's law for the DFT cell and can differ from measured ones.

Peak list (10 most intense, 10 to 90 degrees two-theta, by intensity)
d 2.800, I 1000
d 2.099, I 701
d 1.810, I 651
d 2.562, I 509
d 2.908, I 456
d 1.652, I 341
d 3.073, I 321
d 5.182, I 315
d 3.455, I 238
d 1.093, I 188

Cell and atoms:
abc: 10.574 10.574 10.574
angles: 19.72 19.72 19.72
Positions (direct):
Hf: 0.126 0.126 0.126
Hf: 0.874 0.874 0.874
Np: 0.313 0.313 0.313
Np: 0.687 0.687 0.687
P: 0.413 0.413 0.413
P: 0.587 0.587 0.587

For HfNp2P3, DFT lattice parameters and positions (PBE) gives the computed powder XRD pattern in this record (CuKα).
Peak positions follow from Bragg's law for the DFT cell and can differ from measured ones.

Peak list (10 most intense, 10 to 90 degrees two-theta, by intensity)
d 3.149, I 1000
d 2.727, I 932
d 1.928, I 570
d 1.645, I 324
d 1.220, I 209
d 1.643, I 163
d 1.112, I 122
d 1.115, I 122
d 1.577, I 120
d 1.573, I 119

Cell and atoms:
abc: 12.812 12.216 6.675
angles: 79.53 69.65 30.82
Positions (direct):
Hf: 0.041 0.041 0.209
Hf: 0.209 0.209 0.041
Hf: 0.791 0.791 0.959
Hf: 0.959 0.959 0.791
Np: 0.126 0.126 0.624
Np: 0.293 0.293 0.457
Np: 0.376 0.376 0.874
Np: 0.457 0.457 0.293
Np: 0.543 0.543 0.707
Np: 0.624 0.624 0.126
Np: 0.707 0.707 0.543
Np: 0.874 0.874 0.376
P: 0.040 0.539 0.199
P: 0.112 0.638 0.638
P: 0.199 0.722 0.040
P: 0.278 0.801 0.461
P: 0.362 0.888 0.888
P: 0.461 0.960 0.278
P: 0.539 0.040 0.722
P: 0.638 0.112 0.112
P: 0.722 0.199 0.539
P: 0.801 0.278 0.960
P: 0.888 0.362 0.362
P: 0.960 0.461 0.801

For HfNp2Pt9, DFT lattice parameters and positions (PBE) gives the computed powder XRD pattern in this record (CuKα).
Peak positions follow from Bragg's law for the DFT cell and can differ from measured ones.

Peak list (10 most intense, 10 to 90 degrees two-theta, by intensity)
d 2.377, I 1000
d 2.054, I 332
d 1.239, I 262
d 1.457, I 214
d 2.066, I 161
d 1.244, I 121
d 1.188, I 112
d 1.453, I 111
d 1.367, I 9
d 2.478, I 8

Cell and atoms:
abc: 4.109 4.109 12.394
angles: 90.00 90.00 90.00
Positions (direct):
Hf: 0.000 0.000 0.000
Np: 0.000 0.000 0.332
Np: 0.000 0.000 0.668
Pt: 0.000 0.500 0.158
Pt: 0.000 0.500 0.500
Pt: 0.000 0.500 0.842
Pt: 0.500 0.000 0.158
Pt: 0.500 0.000 0.500
Pt: 0.500 0.000 0.842
Pt: 0.500 0.500 0.000
Pt: 0.500 0.500 0.327
Pt: 0.500 0.500 0.673

For HfNp6S8, DFT lattice parameters and positions (PBE) gives the computed powder XRD pattern in this record (CuKα).
Peak positions follow from Bragg's law for the DFT cell and can differ from measured ones.

Peak list (10 most intense, 10 to 90 degrees two-theta, by intensity)
d 2.735, I 1000
d 3.158, I 960
d 1.934, I 732
d 1.649, I 480
d 1.223, I 336
d 1.117, I 263
d 1.579, I 256
d 1.255, I 200
d 5.470, I 129
d 1.368, I 119

Cell and atoms:
abc: 7.736 7.736 7.736
angles: 60.00 60.00 60.00
Positions (direct):
Hf: 0.000 0.000 0.000
Np: 0.000 0.000 0.500
Np: 0.000 0.500 0.000
Np: 0.000 0.500 0.500
Np: 0.500 0.000 0.000
Np: 0.500 0.000 0.500
Np: 0.500 0.500 0.000
S: 0.243 0.243 0.757
S: 0.243 0.757 0.243
S: 0.243 0.757 0.757
S: 0.250 0.250 0.250
S: 0.750 0.750 0.750
S: 0.757 0.243 0.243
S: 0.757 0.243 0.757
S: 0.757 0.757 0.243

For HfNpSc, DFT lattice parameters and positions (PBE) gives the computed powder XRD pattern in this record (CuKα).
Peak positions follow from Bragg's law for the DFT cell and can differ from measured ones.

Peak list (10 most intense, 10 to 90 degrees two-theta, by intensity)
d 2.292, I 1000
d 2.540, I 934
d 7.535, I 896
d 2.482, I 399
d 5.328, I 309
d 1.394, I 283
d 1.288, I 222
d 1.444, I 205
d 1.507, I 186
d 3.768, I 152

Cell and atoms:
abc: 7.933 7.933 7.933
angles: 95.62 95.62 143.53
Positions (direct):
Hf: 0.000 0.218 0.218
Hf: 0.000 0.782 0.782
Hf: 0.218 0.000 0.218
Hf: 0.782 0.000 0.782
Np: 0.114 0.500 0.614
Np: 0.500 0.114 0.614
Np: 0.500 0.886 0.386
Np: 0.886 0.500 0.386
Sc: 0.324 0.324 0.649
Sc: 0.324 0.676 0.000
Sc: 0.676 0.324 0.000
Sc: 0.676 0.676 0.351

For HfNpTe3, DFT lattice parameters and positions (PBE) gives the computed powder XRD pattern in this record (CuKα).
Peak positions follow from Bragg's law for the DFT cell and can differ from measured ones.

Peak list (10 most intense, 10 to 90 degrees two-theta, by intensity)
d 2.823, I 1000
d 2.650, I 280
d 2.989, I 234
d 2.006, I 225
d 2.358, I 191
d 2.916, I 180
d 1.945, I 178
d 2.438, I 168
d 1.600, I 165
d 3.581, I 158

Cell and atoms:
abc: 9.293 4.011 15.353
angles: 90.00 90.00 90.00
Positions (direct):
Hf: 0.159 0.250 0.039
Hf: 0.341 0.750 0.539
Hf: 0.659 0.250 0.461
Hf: 0.841 0.750 0.961
Np: 0.149 0.750 0.303
Np: 0.351 0.250 0.803
Np: 0.649 0.750 0.197
Np: 0.851 0.250 0.697
Te: 0.016 0.250 0.875
Te: 0.152 0.750 0.692
Te: 0.158 0.250 0.463
Te: 0.342 0.750 0.963
Te: 0.348 0.250 0.192
Te: 0.484 0.750 0.375
Te: 0.516 0.250 0.625
Te: 0.652 0.750 0.808
Te: 0.658 0.250 0.037
Te: 0.842 0.750 0.537
Te: 0.848 0.250 0.308
Te: 0.984 0.750 0.125